Record 1
Structure and simulated PXRD pattern of Mg2ZnAg5 (the GGA-PBE geometry in Alexandria; Cu Kα, 1.54184 Å).
Lines closer than 0.1° are merged.

Top 10 peaks for 2θ = 15–90°, sorted by position:
2θ (°)  intensity
21.9  12.9
30.4  12.4
37.7  100.0
38.6  8.4
42.3  20.0
44.6  27.5
63.2  18.6
74.4  12.4
77.5  9.2
77.7  5.4

Atomic structure:
Unit cell a=5.7386 b=11.5074 c=4.2692 alpha=90.00 beta=90.00 gamma=90.00
Space group Pbam (No. 55)
Asymmetric unit:
Mg (0.2113, 0.1321, 0.0000) [4 per cell]
Zn (0.0000, 0.5000, 0.5000) [2 per cell]
Ag (0.0000, 0.0000, 0.5000) [2 per cell]
Ag (0.0402, 0.7452, 0.5000) [4 per cell]
Ag (0.2121, 0.3853, 0.0000) [4 per cell]

---

Record 2
Structure and simulated PXRD pattern of Mg3Zn4Ag4 (the GGA-PBE geometry in Alexandria; Cu Kα, 1.54184 Å).
Lines closer than 0.1° are merged.

Top 10 peaks for 2θ = 15–90°, sorted by position:
2θ (°)  intensity
21.1  26.8
26.6  23.6
29.1  18.8
38.1  100.0
39.1  90.7
40.9  79.5
52.2  19.5
68.3  24.1
72.0  27.2
73.8  23.1

Atomic structure:
Unit cell a=3.1879 b=3.5072 c=17.0010 alpha=95.85 beta=95.38 gamma=90.04
Space group P-1 (No. 2)
Asymmetric unit:
Mg (0.0000, 0.0000, 0.0000) [1 per cell]
Mg (0.3643, 0.3627, 0.7257) [2 per cell]
Zn (0.0901, 0.0902, 0.1811) [2 per cell]
Zn (0.2705, 0.2713, 0.5415) [2 per cell]
Ag (0.1835, 0.1848, 0.3701) [2 per cell]
Ag (0.4524, 0.4517, 0.9029) [2 per cell]

---

Record 3
Structure and simulated PXRD pattern of MgZn3Ag (the GGA-PBE geometry in Alexandria; Cu Kα, 1.54184 Å).
Lines closer than 0.1° are merged.

Top 10 peaks for 2θ = 15–90°, sorted by position:
2θ (°)  intensity
23.2  30.4
24.6  36.3
36.6  36.1
38.5  50.1
39.2  28.8
40.7  24.0
41.2  100.0
43.0  33.3
44.2  27.4
45.1  29.0

Atomic structure:
Unit cell a=5.1347 b=5.1389 c=6.4769 alpha=90.00 beta=95.19 gamma=90.00
Space group P2_1/m (No. 11)
Asymmetric unit:
Mg (0.1179, 0.2500, 0.3437) [2 per cell]
Zn (0.3654, 0.0050, 0.8121) [4 per cell]
Zn (0.3740, 0.7500, 0.4641) [2 per cell]
Ag (0.0962, 0.7500, 0.0992) [2 per cell]

---

Record 4
Structure and simulated PXRD pattern of Mg2ZnAg (the GGA-PBE geometry in Alexandria; Cu Kα, 1.54184 Å).
Lines closer than 0.1° are merged.

Top 10 peaks for 2θ = 15–90°, sorted by position:
2θ (°)  intensity
23.4  43.0
27.1  4.0
38.7  100.0
45.7  21.2
55.8  16.3
61.3  8.3
70.0  31.8
74.9  6.1
82.9  9.8
87.6  6.3

Atomic structure:
Unit cell a=6.5883 b=6.5883 c=6.5883 alpha=90.00 beta=90.00 gamma=90.00
Space group F-43m (No. 216)
Asymmetric unit:
Mg (0.0000, 0.0000, 0.0000) [4 per cell]
Mg (0.2500, 0.2500, 0.2500) [4 per cell]
Zn (0.2500, 0.2500, 0.7500) [4 per cell]
Ag (0.0000, 0.0000, 0.5000) [4 per cell]

---

Record 5
Structure and simulated PXRD pattern of MgZn6Ag8 (the GGA-PBE geometry in Alexandria; Cu Kα, 1.54184 Å).
Lines closer than 0.1° are merged.

Top 10 peaks for 2θ = 15–90°, sorted by position:
2θ (°)  intensity
17.4  17.2
23.2  19.1
35.2  25.7
37.5  32.0
40.7  81.6
41.5  100.0
42.6  16.7
59.5  20.2
65.5  12.2
74.6  13.6

Atomic structure:
Unit cell a=7.6825 b=7.6825 c=15.8630 alpha=90.00 beta=90.00 gamma=120.00
Space group R-3 (No. 148, hexagonal axes)
Asymmetric unit:
Mg (0.0000, 0.0000, 0.0000) [3 per cell]
Zn (0.0105, 0.7134, 0.3741) [18 per cell]
Ag (0.0000, 0.0000, 0.2495) [6 per cell]
Ag (0.0187, 0.3040, 0.1241) [18 per cell]

---

Record 6
Structure and simulated PXRD pattern of Mg2ZnAg6 (the GGA-PBE geometry in Alexandria; Cu Kα, 1.54184 Å).
Lines closer than 0.1° are merged.

Top 10 peaks for 2θ = 15–90°, sorted by position:
2θ (°)  intensity
23.0  9.1
25.7  8.0
37.8  100.0
43.0  20.1
44.4  29.2
63.5  18.9
64.5  7.8
75.3  12.1
77.3  17.1
80.7  8.2

Atomic structure:
Unit cell a=8.6643 b=8.6643 c=4.2097 alpha=90.00 beta=90.00 gamma=90.00
Space group P4_2/mnm (No. 136)
Asymmetric unit:
Mg (0.1843, 0.1843, 0.0000) [4 per cell]
Zn (0.0000, 0.0000, 0.5000) [2 per cell]
Ag (0.0129, 0.3302, 0.5000) [8 per cell]
Ag (0.1461, 0.8539, 0.0000) [4 per cell]

---

Record 7
Structure and simulated PXRD pattern of MgZnAg5 (the GGA-PBE geometry in Alexandria; Cu Kα, 1.54184 Å).
Lines closer than 0.1° are merged.

Top 10 peaks for 2θ = 15–90°, sorted by position:
2θ (°)  intensity
21.1  15.6
30.0  15.1
32.5  20.2
39.0  100.0
42.9  41.7
50.0  14.0
62.3  13.0
68.0  15.2
72.0  11.7
76.0  25.8

Atomic structure:
Unit cell a=4.2144 b=4.2144 c=7.2992 alpha=90.00 beta=90.00 gamma=90.00
Space group P4/mmm (No. 123)
Asymmetric unit:
Mg (0.0000, 0.0000, 0.0000) [1 per cell]
Zn (0.5000, 0.5000, 0.5000) [1 per cell]
Ag (0.0000, 0.5000, 0.2799) [4 per cell]
Ag (0.5000, 0.5000, 0.0000) [1 per cell]

---

Record 8
Structure and simulated PXRD pattern of MgZn3Ag (the GGA-PBE geometry in Alexandria; Cu Kα, 1.54184 Å).
Lines closer than 0.1° are merged.

Top 10 peaks for 2θ = 15–90°, sorted by position:
2θ (°)  intensity
30.8  45.4
37.8  73.6
38.0  87.1
39.1  100.0
40.0  95.7
41.2  59.5
41.6  88.7
51.7  32.3
64.3  32.0
78.5  29.0

Atomic structure:
Unit cell a=7.0869 b=5.7986 c=8.6912 alpha=90.00 beta=109.33 gamma=90.00
Space group P2_1/c (No. 14)
Asymmetric unit:
Mg (0.2040, 0.0048, 0.2996) [4 per cell]
Zn (0.0007, 0.2451, 0.4997) [4 per cell]
Zn (0.2274, 0.5055, 0.2984) [4 per cell]
Zn (0.3813, 0.7399, 0.5913) [4 per cell]
Ag (0.3991, 0.2460, 0.5991) [4 per cell]